Computed PXRD pattern
Compound: Li3FeCu4O8
Radiation: Cu Kα
Structure: the GGA+U geometry in the Materials Project
Kinematic intensities with the Lorentz-polarization factor, no thermal factor.

The 8 most intense peaks (10° ≤ 2θ ≤ 90°), sorted by position:
- 2θ = 18.21°, I 95, hkl 0 0 1
- 2θ = 35.57°, I 30, hkl 2 2 -1
- 2θ = 36.90°, I 54, hkl 0 0 2
- 2θ = 42.28°, I 53, hkl 4 0 0
- 2θ = 43.37°, I 100, hkl 2 2 -2
- 2θ = 61.85°, I 29, hkl 2 2 2
- 2θ = 62.49°, I 29, hkl 6 2 -2
- 2θ = 78.54°, I 19, hkl 4 4 0

Unit cell a=10.3112 b=5.9282 c=5.8758 alpha=90.00 beta=123.99 gamma=90.00
Space group C2/m (No. 12)
Inequivalent atoms, fractional coordinates:
Li: 0.0000 0.0000 0.0000
Li: 0.2500 0.2500 0.0000
Fe: 0.0000 0.5000 0.5000
Cu: 0.0000 0.0000 0.5000
Cu: 0.0000 0.5000 0.0000
Cu: 0.2500 0.2500 0.5000
O: 0.0049 0.2665 0.2463
O: 0.2247 0.0000 0.7129
O: 0.2404 0.5000 0.7278